No. 1
The following is a calculated powder diffraction line list of Na2V2NiH4O6F6. It was derived from DFT lattice parameters and positions (GGA+U), using Cu Kα, 1.54184 Å.

Main lines, in order of falling intensity (10° ≤ 2θ ≤ 90°):
16.67 deg, d 5.318, I = 100, (0 0 2); 28.32 deg, d 3.151, I = 85, (2 1 -1); 28.60 deg, d 3.121, I = 51, (2 1 1); 21.39 deg, d 4.154, I = 42, (1 1 -1); 51.58 deg, d 1.772, I = 38, (0 0 6); 33.67 deg, d 2.662, I = 37, (0 0 4)

Structural model:
```
Na2V2NiH4O6F6
1.0
8.331 0.000 0.000
0.000 5.331 0.000
-0.229 0.000 10.635
Na V Ni H O F
4 4 2 8 12 12
Direct
0.038 0.049 0.164 Na
0.038 0.451 0.664 Na
0.962 0.549 0.336 Na
0.962 0.951 0.836 Na
0.211 0.529 0.008 V
0.211 0.971 0.508 V
0.789 0.029 0.492 V
0.789 0.471 0.992 V
0.500 0.000 0.000 Ni
0.500 0.500 0.500 Ni
0.341 0.562 0.286 H
0.341 0.938 0.786 H
0.495 0.568 0.738 H
0.495 0.932 0.238 H
0.505 0.068 0.762 H
0.505 0.432 0.262 H
0.659 0.062 0.214 H
0.659 0.438 0.714 H
0.304 0.700 0.546 O
0.304 0.800 0.046 O
0.354 0.183 0.487 O
0.354 0.317 0.987 O
0.456 0.572 0.308 O
0.456 0.928 0.808 O
0.544 0.072 0.192 O
0.544 0.428 0.692 O
0.646 0.683 0.013 O
0.646 0.817 0.513 O
0.696 0.200 0.954 O
0.696 0.300 0.454 O
0.021 0.226 0.470 F
0.021 0.274 0.970 F
0.167 0.063 0.679 F
0.167 0.437 0.179 F
0.169 0.620 0.838 F
0.169 0.880 0.338 F
0.831 0.120 0.662 F
0.831 0.380 0.162 F
0.833 0.563 0.821 F
0.833 0.937 0.321 F
0.979 0.726 0.030 F
0.979 0.774 0.530 F
```

***

No. 2
The following is a calculated powder diffraction line list of NaVH2O2F4. It was derived from DFT lattice parameters and positions (GGA+U), using Cu Kα, 1.54184 Å.

Main lines, in order of falling intensity (10° ≤ 2θ ≤ 90°):
24.92 deg, d 3.573, I = 100, (2 0 1); 37.46 deg, d 2.401, I = 79, (2 3 1); 19.56 deg, d 4.539, I = 75, (2 1 0); 20.04 deg, d 4.430, I = 69, (0 1 1); 18.24 deg, d 4.864, I = 67, (0 2 0); 51.14 deg, d 1.786, I = 36, (4 0 2)

Structural model:
```
NaVH2O2F4
1.0
10.264 0.000 0.000
0.000 9.728 0.000
0.000 0.000 4.977
Na V H O F
4 4 8 8 16
Direct
0.131 0.093 0.000 Na
0.369 0.593 0.500 Na
0.631 0.407 0.000 Na
0.869 0.907 0.500 Na
0.105 0.723 0.963 V
0.395 0.223 0.463 V
0.605 0.777 0.963 V
0.895 0.277 0.463 V
0.186 0.376 0.687 H
0.211 0.879 0.414 H
0.289 0.379 0.914 H
0.314 0.876 0.187 H
0.686 0.124 0.687 H
0.711 0.621 0.414 H
0.789 0.121 0.914 H
0.814 0.624 0.187 H
0.029 0.610 0.789 O
0.222 0.895 0.221 O
0.278 0.395 0.721 O
0.471 0.110 0.289 O
0.529 0.890 0.789 O
0.722 0.605 0.221 O
0.778 0.105 0.721 O
0.971 0.390 0.289 O
0.016 0.247 0.733 F
0.045 0.887 0.804 F
0.202 0.612 0.184 F
0.248 0.248 0.250 F
0.252 0.748 0.750 F
0.298 0.112 0.684 F
0.455 0.387 0.304 F
0.484 0.747 0.233 F
0.516 0.253 0.733 F
0.545 0.613 0.804 F
0.702 0.888 0.184 F
0.748 0.252 0.250 F
0.752 0.752 0.750 F
0.798 0.388 0.684 F
0.955 0.113 0.304 F
0.984 0.753 0.233 F
```

***

No. 3
The following is a calculated powder diffraction line list of NiSn2H12O6F6. It was derived from DFT lattice parameters and positions (GGA+U), using Cu Kα, 1.54184 Å.

Main lines, in order of falling intensity (10° ≤ 2θ ≤ 90°):
20.36 deg, d 4.361, I = 100, (1 -1 0); 27.82 deg, d 3.207, I = 75, (0 1 2); 18.01 deg, d 4.924, I = 72, (1 1 1); 21.58 deg, d 4.119, I = 41, (1 0 -1); 27.25 deg, d 3.273, I = 40, (2 0 1); 41.35 deg, d 2.183, I = 24, (-1 2 2)

Structural model:
```
NiSn2H12O6F6
1.0
6.871 0.000 0.000
1.477 6.869 0.000
2.126 1.189 6.633
Ni Sn H O F
1 2 12 6 6
Direct
0.000 0.000 0.000 Ni
0.333 0.360 0.328 Sn
0.667 0.640 0.672 Sn
0.082 0.355 0.807 H
0.097 0.745 0.745 H
0.211 0.931 0.637 H
0.241 0.941 0.252 H
0.259 0.261 0.917 H
0.352 0.813 0.078 H
0.648 0.187 0.922 H
0.741 0.739 0.083 H
0.759 0.059 0.748 H
0.789 0.069 0.363 H
0.903 0.255 0.255 H
0.918 0.645 0.193 H
0.168 0.229 0.847 O
0.172 0.840 0.768 O
0.215 0.865 0.162 O
0.785 0.135 0.838 O
0.828 0.160 0.232 O
0.832 0.771 0.153 O
0.030 0.425 0.289 F
0.284 0.062 0.408 F
0.422 0.307 0.028 F
0.578 0.693 0.972 F
0.716 0.938 0.592 F
0.970 0.575 0.711 F
```